Mg14SbC: calculated powder diffraction line list (a wavelength of 1.5418 Å), based on a crystal structure in Alexandria, relaxed with GGA-PBE.
Neutral-atom scattering factors, no anomalous dispersion.

Principal peaks in the range 10° ≤ 2θ ≤ 90°, by angle:
8.699 Å, I = 36.0
6.242 Å, I = 14.6
5.074 Å, I = 33.0
3.569 Å, I = 19.6
2.936 Å, I = 11.4
2.630 Å, I = 15.2
2.547 Å, I = 34.5
2.535 Å, I = 100.0
2.445 Å, I = 18.1
2.124 Å, I = 15.9

Cell and atoms:
a = 8.6990 Å, b = 6.4429 Å, c = 6.4429 Å
α = 75.64°, β = 90.00°, γ = 90.00°
Atoms (fractional coordinates):
Mg  0.0000  0.0000  0.0000
Mg  0.0000  0.4745  0.4745
Mg  0.0000  0.5184  0.9370
Mg  0.0000  0.9370  0.5184
Mg  0.2265  0.2456  0.2456
Mg  0.2813  0.7926  0.7926
Mg  0.3111  0.3418  0.7056
Mg  0.3111  0.7056  0.3418
Mg  0.5000  0.0285  0.4985
Mg  0.5000  0.4985  0.0285
Mg  0.6889  0.3418  0.7056
Mg  0.6889  0.7056  0.3418
Mg  0.7187  0.7926  0.7926
Mg  0.7735  0.2456  0.2456
Sb  0.5000  0.0317  0.0317
C  0.5000  0.6494  0.6494